No. 1
Diffraction record for TbIn6Cu6. The powder diffraction line list is theoretical, not measured: it uses a DFT-relaxed cell (GGA-PBE, the Materials Project) and copper Kα.

Largest 10 diffraction maxima, by angle, 2θ = 10–80°:
2.777 Å, rel. 331; 2.686 Å, rel. 573; 2.673 Å, rel. 217; 2.376 Å, rel. 609; 2.314 Å, rel. 1000; 2.287 Å, rel. 293; 2.110 Å, rel. 435; 1.497 Å, rel. 245; 1.343 Å, rel. 181; 1.326 Å, rel. 220

Structural model:
Cell: 5.5545 9.1473 9.2064 Å, 90.00 90.00 90.00°
Space group Immm (No. 71)
One atom of each set of equivalent atoms:
Tb (0.0000, 0.0000, 0.0000)
In (0.0000, 0.0000, 0.3426)
In (0.0000, 0.3371, 0.0000)
In (0.0000, 0.5000, 0.3143)
Cu (0.0000, 0.2671, 0.5000)
Cu (0.2500, 0.2500, 0.2500)

No. 2
Diffraction record for Tb2InCu2. The powder diffraction line list is theoretical, not measured: it uses a DFT-relaxed cell (GGA-PBE, the Materials Project) and copper Kα.

Largest 10 diffraction maxima, by angle, 2θ = 10–80°:
3.416 Å, rel. 198; 2.701 Å, rel. 151; 2.637 Å, rel. 545; 2.493 Å, rel. 1000; 2.416 Å, rel. 460; 1.853 Å, rel. 156; 1.823 Å, rel. 152; 1.652 Å, rel. 174; 1.614 Å, rel. 178; 1.455 Å, rel. 181

Structural model:
Cell: 7.6394 7.6394 3.6455 Å, 90.00 90.00 90.00°
Space group P4/mbm (No. 127)
One atom of each set of equivalent atoms:
Tb (0.1742, 0.3258, 0.0000)
In (0.0000, 0.0000, 0.5000)
Cu (0.1188, 0.6188, 0.5000)

No. 3
Diffraction record for TbInCu2. The powder diffraction line list is theoretical, not measured: it uses a DFT-relaxed cell (GGA-PBE, the Materials Project) and copper Kα.

Largest 9 diffraction maxima, by angle, 2θ = 10–80°:
3.840 Å, rel. 23; 3.325 Å, rel. 137; 2.351 Å, rel. 1000; 2.005 Å, rel. 13; 1.920 Å, rel. 40; 1.663 Å, rel. 167; 1.526 Å, rel. 6; 1.487 Å, rel. 55; 1.358 Å, rel. 331

Structural model:
Cell: 6.6506 6.6506 6.6506 Å, 90.00 90.00 90.00°
Space group Fm-3m (No. 225)
One atom of each set of equivalent atoms:
Tb (0.0000, 0.0000, 0.0000)
In (0.0000, 0.0000, 0.5000)
Cu (0.2500, 0.2500, 0.2500)

No. 4
Diffraction record for Tb2In3Cu. The powder diffraction line list is theoretical, not measured: it uses a DFT-relaxed cell (GGA-PBE, the Materials Project) and copper Kα.

Largest 10 diffraction maxima, by angle, 2θ = 10–80°:
4.088 Å, rel. 70; 3.590 Å, rel. 119; 2.764 Å, rel. 1000; 2.360 Å, rel. 721; 2.134 Å, rel. 166; 1.795 Å, rel. 278; 1.469 Å, rel. 113; 1.429 Å, rel. 259; 1.363 Å, rel. 122; 1.315 Å, rel. 66

Structural model:
Cell: 4.7203 4.7203 7.5047 Å, 90.00 90.00 120.00°
Space group P3m1 (No. 156)
One atom of each set of equivalent atoms:
Tb (0.0000, 0.0000, 0.0000)
Tb (0.0000, 0.0000, 0.4619)
In (0.3333, 0.6667, 0.2217)
In (0.3333, 0.6667, 0.7893)
In (0.6667, 0.3333, 0.6694)
Cu (0.6667, 0.3333, 0.2773)

No. 5
Diffraction record for TiInCu2. The powder diffraction line list is theoretical, not measured: it uses a DFT-relaxed cell (GGA-PBE, the Materials Project) and copper Kα.

Largest 10 diffraction maxima, by angle, 2θ = 10–80°:
6.346 Å, rel. 86; 2.822 Å, rel. 174; 2.236 Å, rel. 1000; 2.228 Å, rel. 513; 2.115 Å, rel. 39; 1.587 Å, rel. 72; 1.575 Å, rel. 162; 1.534 Å, rel. 54; 1.292 Å, rel. 138; 1.288 Å, rel. 304

Structural model:
Cell: 3.1508 3.1508 6.3465 Å, 90.00 90.00 90.00°
Space group P4/mmm (No. 123)
One atom of each set of equivalent atoms:
Ti (0.0000, 0.0000, 0.0000)
In (0.0000, 0.0000, 0.5000)
Cu (0.5000, 0.5000, 0.2275)

No. 6
Diffraction record for TmInCu2. The powder diffraction line list is theoretical, not measured: it uses a DFT-relaxed cell (GGA-PBE, the Materials Project) and copper Kα.

Largest 10 diffraction maxima, by angle, 2θ = 10–80°:
3.800 Å, rel. 34; 3.291 Å, rel. 151; 2.327 Å, rel. 1000; 1.985 Å, rel. 19; 1.900 Å, rel. 44; 1.646 Å, rel. 167; 1.510 Å, rel. 9; 1.472 Å, rel. 61; 1.344 Å, rel. 331; 1.267 Å, rel. 7

Structural model:
Cell: 6.5820 6.5820 6.5820 Å, 90.00 90.00 90.00°
Space group Fm-3m (No. 225)
One atom of each set of equivalent atoms:
Tm (0.0000, 0.0000, 0.0000)
In (0.0000, 0.0000, 0.5000)
Cu (0.2500, 0.2500, 0.2500)

No. 7
Diffraction record for TmInCu4. The powder diffraction line list is theoretical, not measured: it uses a DFT-relaxed cell (GGA-PBE, the Materials Project) and copper Kα.

Largest 10 diffraction maxima, by angle, 2θ = 10–80°:
4.153 Å, rel. 81; 3.597 Å, rel. 21; 2.543 Å, rel. 552; 2.169 Å, rel. 1000; 2.077 Å, rel. 197; 1.650 Å, rel. 22; 1.468 Å, rel. 199; 1.384 Å, rel. 300; 1.272 Å, rel. 224; 1.216 Å, rel. 18

Structural model:
Cell: 7.1933 7.1933 7.1933 Å, 90.00 90.00 90.00°
Space group F-43m (No. 216)
One atom of each set of equivalent atoms:
Tm (0.0000, 0.0000, 0.0000)
In (0.2500, 0.2500, 0.2500)
Cu (0.1249, 0.1249, 0.6249)

No. 8
Diffraction record for Y2In3Cu. The powder diffraction line list is theoretical, not measured: it uses a DFT-relaxed cell (GGA-PBE, the Materials Project) and copper Kα.

Largest 10 diffraction maxima, by angle, 2θ = 10–80°:
3.602 Å, rel. 128; 2.718 Å, rel. 1000; 2.394 Å, rel. 516; 2.387 Å, rel. 272; 1.994 Å, rel. 88; 1.800 Å, rel. 207; 1.794 Å, rel. 179; 1.439 Å, rel. 372; 1.436 Å, rel. 87; 1.434 Å, rel. 90

Structural model:
Cell: 3.6019 4.7733 8.3030 Å, 90.00 90.00 90.00°
Space group Pmm2 (No. 25)
One atom of each set of equivalent atoms:
Y (0.0000, 0.0000, 0.0000)
Y (0.0000, 0.5000, 0.4879)
In (0.5000, 0.0000, 0.6364)
In (0.5000, 0.5000, 0.1754)
In (0.5000, 0.5000, 0.8293)
Cu (0.5000, 0.0000, 0.3193)